Record 1
The following is a computed X-ray powder pattern of Cs2Hg6S7. It was derived from a cell relaxed with GGA-PBE, using Cu Kα, 1.54184 Å.
No peak broadening, texture or thermal motion is included.

Structure:
a = 14.3597 Å, b = 14.3597 Å, c = 4.2623 Å
α = 90.00°, β = 90.00°, γ = 90.00°
Space group P4_2nm (No. 102)
Asymmetric unit:
Cs1 0.1704 0.1704 0.0000
Hg1 0.0716 0.6545 0.0013
Hg2 0.0979 0.9021 0.5930
S1 0.0000 0.0000 0.2748
S2 0.0244 0.3093 0.5015
S3 0.1815 0.8185 0.9896

Top 10 peaks for 10 to 90 degrees two-theta, in order of rising 2θ:
d = 3.590 Å, 2θ 24.8, I = 28; d = 3.551 Å, 2θ 25.1, I = 31; d = 3.483 Å, 2θ 25.6, I = 47; d = 3.385 Å, 2θ 26.3, I = 21; d = 3.264 Å, 2θ 27.3, I = 100; d = 2.910 Å, 2θ 30.7, I = 21; d = 2.872 Å, 2θ 31.1, I = 21; d = 2.132 Å, 2θ 42.4, I = 21; d = 2.065 Å, 2θ 43.8, I = 40; d = 1.913 Å, 2θ 47.5, I = 21

***

Record 2
The following is a computed X-ray powder pattern of Zr5In3Ag. It was derived from a cell relaxed with GGA-PBE, using Cu Kα, 1.54184 Å.
No peak broadening, texture or thermal motion is included.

Structure:
a = 8.8371 Å, b = 8.8371 Å, c = 5.9861 Å
α = 90.00°, β = 90.00°, γ = 120.00°
Space group P6_3/mcm (No. 193)
Asymmetric unit:
Zr1 0.0000 0.2932 0.2500
Zr2 0.3333 0.6667 0.0000
In1 0.0000 0.3684 0.7500
Ag1 0.0000 0.0000 0.0000

Top 10 peaks for 10 to 90 degrees two-theta, in order of rising 2θ:
d = 2.993 Å, 2θ 29.9, I = 8; d = 2.604 Å, 2θ 34.4, I = 27; d = 2.551 Å, 2θ 35.2, I = 100; d = 2.478 Å, 2θ 36.3, I = 95; d = 2.001 Å, 2θ 45.3, I = 11; d = 1.777 Å, 2θ 51.4, I = 29; d = 1.473 Å, 2θ 63.1, I = 11; d = 1.458 Å, 2θ 63.8, I = 24; d = 1.406 Å, 2θ 66.5, I = 10; d = 1.291 Å, 2θ 73.3, I = 22

***

Record 3
The following is a computed X-ray powder pattern of BiOF. It was derived from a cell relaxed with GGA-PBE, using Cu Kα, 1.54184 Å.
No peak broadening, texture or thermal motion is included.

Structure:
a = 8.2082 Å, b = 3.9829 Å, c = 5.9370 Å
α = 90.00°, β = 90.00°, γ = 90.00°
Space group Pnma (No. 62)
Asymmetric unit:
Bi1 0.1131 0.2500 0.2047
O1 0.1147 0.7500 0.0098
F1 0.1267 0.7500 0.5189

Top 10 peaks for 10 to 90 degrees two-theta, in order of rising 2θ:
d = 3.376 Å, 2θ 26.4, I = 100; d = 3.308 Å, 2θ 27.0, I = 100; d = 2.968 Å, 2θ 30.1, I = 18; d = 2.858 Å, 2θ 31.3, I = 48; d = 2.286 Å, 2θ 39.4, I = 12; d = 2.059 Å, 2θ 44.0, I = 59; d = 2.052 Å, 2θ 44.1, I = 18; d = 1.991 Å, 2θ 45.6, I = 18; d = 1.744 Å, 2θ 52.5, I = 31; d = 1.715 Å, 2θ 53.4, I = 30